Entry 1:
For AsRu3W, the PBE geometry in Alexandria gives the theoretical powder XRD pattern in this record (Cu Kα X-rays).
Lines closer than 0.1° are merged.

Cell and atoms:
abc: 4.441 4.441 4.441
angles: 90.00 90.00 90.00
Fractional positions:
As: 0.000 0.000 0.000
Ru: 0.000 0.000 0.500
Ru: 0.000 0.500 0.000
Ru: 0.500 0.000 0.000
W: 0.500 0.500 0.500

Peak list (6 most intense, 5 to 70 degrees two-theta, by angle)
Position (°2θ)	Rel. int.
28.4	36
35.0	100
40.6	94
50.3	15
58.8	62
66.6	7


Entry 2:
For MgSn2O4, the PBE geometry in Alexandria gives the theoretical powder XRD pattern in this record (Cu Kα X-rays).
Lines closer than 0.1° are merged.

Cell and atoms:
abc: 6.635 6.635 6.635
angles: 122.31 119.85 88.15
Fractional positions:
Mg: 0.396 0.146 0.250
Mg: 0.604 0.854 0.750
Sn: 0.000 0.000 0.500
Sn: 0.000 0.500 0.000
Sn: 0.000 0.500 0.500
Sn: 0.500 0.500 0.000
O: 0.235 0.717 0.518
O: 0.257 0.279 0.521
O: 0.257 0.736 0.979
O: 0.300 0.283 0.018
O: 0.700 0.717 0.982
O: 0.743 0.264 0.021
O: 0.743 0.721 0.479
O: 0.765 0.283 0.482

Peak list (10 most intense, 5 to 70 degrees two-theta, by angle)
Position (°2θ)	Rel. int.
16.3	68
16.7	100
31.2	28
31.7	60
32.4	61
32.8	48
33.7	39
37.7	37
39.1	69
55.4	62


Entry 3:
For ZrNi3H, the PBE geometry in Alexandria gives the theoretical powder XRD pattern in this record (Cu Kα X-rays).
Lines closer than 0.1° are merged.

Cell and atoms:
abc: 5.323 5.327 5.335
angles: 97.15 119.71 112.20
Fractional positions:
Zr: 0.000 0.000 0.000
Zr: 0.006 0.543 0.534
Ni: 0.039 0.058 0.522
Ni: 0.471 0.487 0.518
Ni: 0.508 0.552 0.052
Ni: 0.509 0.990 0.492
Ni: 0.538 0.064 0.015
Ni: 0.958 0.480 0.011
H: 0.288 0.769 0.050
H: 0.490 0.240 0.724

Peak list (10 most intense, 5 to 70 degrees two-theta, by angle)
Position (°2θ)	Rel. int.
22.4	5
39.1	8
39.7	100
41.3	12
42.3	46
42.5	45
45.6	70
47.7	9
51.8	21
62.5	10


Entry 4:
For LiCd3F7, the PBE geometry in Alexandria gives the theoretical powder XRD pattern in this record (Cu Kα X-rays).
Lines closer than 0.1° are merged.

Cell and atoms:
abc: 6.535 6.535 7.455
angles: 90.00 90.00 108.31
Fractional positions:
Li: 0.004 0.004 0.000
Li: 0.996 0.996 0.500
Cd: 0.003 0.547 0.750
Cd: 0.453 0.997 0.750
Cd: 0.499 0.499 0.500
Cd: 0.501 0.501 0.000
Cd: 0.547 0.003 0.250
Cd: 0.997 0.453 0.250
F: 0.084 0.916 0.750
F: 0.104 0.352 0.527
F: 0.104 0.352 0.973
F: 0.352 0.104 0.027
F: 0.352 0.104 0.473
F: 0.363 0.637 0.250
F: 0.373 0.627 0.750
F: 0.627 0.373 0.250
F: 0.637 0.363 0.750
F: 0.648 0.896 0.527
F: 0.648 0.896 0.973
F: 0.896 0.648 0.027
F: 0.896 0.648 0.473
F: 0.916 0.084 0.250

Peak list (10 most intense, 5 to 70 degrees two-theta, by angle)
Position (°2θ)	Rel. int.
14.3	53
27.9	18
28.8	100
29.3	95
33.6	25
47.5	19
48.4	71
48.9	21
56.8	22
57.7	36


Entry 5:
For SrPr2, the PBE geometry in Alexandria gives the theoretical powder XRD pattern in this record (Cu Kα X-rays).
Lines closer than 0.1° are merged.

Cell and atoms:
abc: 8.747 8.747 8.747
angles: 154.63 154.63 36.18
Fractional positions:
Sr: 0.000 0.000 0.000
Pr: 0.322 0.322 0.000
Pr: 0.678 0.678 0.000

Peak list (10 most intense, 5 to 70 degrees two-theta, by angle)
Position (°2θ)	Rel. int.
10.6	13
28.3	100
32.3	16
33.0	35
35.7	7
46.8	22
47.3	13
55.2	12
56.0	29
58.5	11


Entry 6:
For CaLa4Tb, the PBE geometry in Alexandria gives the theoretical powder XRD pattern in this record (Cu Kα X-rays).
Lines closer than 0.1° are merged.

Cell and atoms:
abc: 3.756 3.756 15.722
angles: 90.00 90.00 90.00
Fractional positions:
Ca: 0.000 0.000 0.000
La: 0.000 0.000 0.341
La: 0.000 0.000 0.659
La: 0.500 0.500 0.183
La: 0.500 0.500 0.817
Tb: 0.500 0.500 0.500

Peak list (10 most intense, 5 to 70 degrees two-theta, by angle)
Position (°2θ)	Rel. int.
5.6	38
29.3	100
33.0	9
33.7	36
34.2	17
48.5	13
48.8	22
57.6	29
58.2	10
60.7	11


Entry 7:
For Pr7Nd4Ho, the PBE geometry in Alexandria gives the theoretical powder XRD pattern in this record (Cu Kα X-rays).
Lines closer than 0.1° are merged.

Cell and atoms:
abc: 6.433 7.409 9.224
angles: 89.92 76.48 89.90
Fractional positions:
Pr: 0.000 0.000 0.000
Pr: 0.219 0.501 0.332
Pr: 0.280 0.251 0.670
Pr: 0.500 0.251 0.001
Pr: 0.500 0.749 0.999
Pr: 0.720 0.749 0.330
Pr: 0.781 0.499 0.668
Nd: 0.221 0.001 0.333
Nd: 0.279 0.749 0.670
Nd: 0.721 0.251 0.330
Nd: 0.779 0.999 0.667
Ho: 0.000 0.500 0.000

Peak list (10 most intense, 5 to 70 degrees two-theta, by angle)
Position (°2θ)	Rel. int.
28.0	36
29.9	50
30.8	100
32.4	56
32.5	27
49.1	25
52.6	15
55.7	17
58.5	22
58.6	22


Entry 8:
For Er4CuRu, the PBE geometry in Alexandria gives the theoretical powder XRD pattern in this record (Cu Kα X-rays).
Lines closer than 0.1° are merged.

Cell and atoms:
abc: 3.415 3.415 12.402
angles: 90.00 90.00 90.00
Fractional positions:
Er: 0.000 0.000 0.131
Er: 0.000 0.000 0.869
Er: 0.500 0.500 0.363
Er: 0.500 0.500 0.637
Cu: 0.000 0.000 0.500
Ru: 0.500 0.500 0.000

Peak list (10 most intense, 5 to 70 degrees two-theta, by angle)
Position (°2θ)	Rel. int.
27.1	25
28.8	17
34.0	100
37.2	54
45.2	22
47.7	17
53.7	19
58.7	14
62.0	8
65.1	30


Entry 9:
For La3Tb6SmY2, the PBE geometry in Alexandria gives the theoretical powder XRD pattern in this record (Cu Kα X-rays).
Lines closer than 0.1° are merged.

Cell and atoms:
abc: 6.267 6.267 11.959
angles: 95.01 95.01 120.02
Fractional positions:
La: 0.000 0.000 0.000
La: 0.333 0.667 0.000
La: 0.667 0.333 0.000
Tb: 0.085 0.418 0.254
Tb: 0.248 0.248 0.746
Tb: 0.418 0.085 0.254
Tb: 0.582 0.915 0.746
Tb: 0.752 0.752 0.254
Tb: 0.915 0.582 0.746
Sm: 0.500 0.500 0.500
Y: 0.167 0.833 0.500
Y: 0.833 0.167 0.500

Peak list (10 most intense, 5 to 70 degrees two-theta, by angle)
Position (°2θ)	Rel. int.
15.0	2
30.3	100
30.4	33
35.1	67
50.4	24
50.6	24
60.0	43
60.1	14
63.0	12
63.2	4


Entry 10:
For Sr3SnI, the PBE geometry in Alexandria gives the theoretical powder XRD pattern in this record (Cu Kα X-rays).
Lines closer than 0.1° are merged.

Cell and atoms:
abc: 9.019 9.019 8.502
angles: 104.14 104.14 57.30
Fractional positions:
Sr: 0.031 0.031 0.249
Sr: 0.033 0.546 0.249
Sr: 0.454 0.967 0.751
Sr: 0.546 0.033 0.249
Sr: 0.967 0.454 0.751
Sr: 0.969 0.969 0.751
Sn: 0.165 0.165 0.013
Sn: 0.835 0.835 0.987
I: 0.338 0.338 0.583
I: 0.662 0.662 0.417

Peak list (10 most intense, 5 to 70 degrees two-theta, by angle)
Position (°2θ)	Rel. int.
11.6	70
11.8	27
17.1	40
20.6	49
24.7	22
25.3	51
30.0	100
34.8	23
41.3	22
41.8	22


Entry 11:
For Tb4SmTh5, the PBE geometry in Alexandria gives the theoretical powder XRD pattern in this record (Cu Kα X-rays).
Lines closer than 0.1° are merged.

Cell and atoms:
abc: 12.867 12.867 7.123
angles: 98.19 98.19 16.04
Fractional positions:
Tb: 0.101 0.101 0.308
Tb: 0.299 0.299 0.898
Tb: 0.701 0.701 0.102
Tb: 0.899 0.899 0.692
Sm: 0.500 0.500 0.000
Th: 0.101 0.101 0.792
Th: 0.300 0.300 0.399
Th: 0.500 0.500 0.500
Th: 0.700 0.700 0.601
Th: 0.899 0.899 0.208

Peak list (10 most intense, 5 to 70 degrees two-theta, by angle)
Position (°2θ)	Rel. int.
30.6	100
30.7	49
30.8	48
35.5	100
51.1	24
51.3	36
60.6	15
60.6	15
60.8	36
61.0	21


Entry 12:
For Ta2BeCr, the PBE geometry in Alexandria gives the theoretical powder XRD pattern in this record (Cu Kα X-rays).
Lines closer than 0.1° are merged.

Cell and atoms:
abc: 3.137 3.947 4.844
angles: 90.00 105.07 90.00
Fractional positions:
Ta: 0.000 0.000 0.000
Ta: 0.222 0.500 0.582
Be: 0.550 0.500 0.143
Cr: 0.653 0.000 0.457

Peak list (10 most intense, 5 to 70 degrees two-theta, by angle)
Position (°2θ)	Rel. int.
29.5	24
29.6	90
37.4	35
38.4	100
39.4	23
42.2	23
45.1	17
45.9	22
46.0	27
64.2	36


Entry 13:
For Ba3GeBi, the PBE geometry in Alexandria gives the theoretical powder XRD pattern in this record (Cu Kα X-rays).
Lines closer than 0.1° are merged.

Cell and atoms:
abc: 4.679 9.704 9.806
angles: 85.03 89.99 76.07
Fractional positions:
Ba: 0.047 0.406 0.174
Ba: 0.241 0.017 0.808
Ba: 0.392 0.716 0.433
Ba: 0.608 0.284 0.567
Ba: 0.759 0.983 0.192
Ba: 0.953 0.594 0.826
Ge: 0.217 0.067 0.445
Ge: 0.783 0.933 0.555
Bi: 0.392 0.716 0.072
Bi: 0.608 0.284 0.928

Peak list (10 most intense, 5 to 70 degrees two-theta, by angle)
Position (°2θ)	Rel. int.
25.0	100
26.5	43
27.5	37
29.3	37
30.5	65
30.8	32
34.2	54
38.5	47
47.9	30
49.9	29


Entry 14:
For NiSb6Pd3, the PBE geometry in Alexandria gives the theoretical powder XRD pattern in this record (Cu Kα X-rays).
Lines closer than 0.1° are merged.

Cell and atoms:
abc: 7.158 6.419 11.876
angles: 90.00 126.72 90.00
Fractional positions:
Ni: 0.000 0.000 0.000
Ni: 0.000 0.500 0.500
Sb: 0.074 0.032 0.242
Sb: 0.074 0.468 0.742
Sb: 0.248 0.157 0.588
Sb: 0.248 0.343 0.088
Sb: 0.404 0.652 0.589
Sb: 0.404 0.848 0.089
Sb: 0.596 0.152 0.911
Sb: 0.596 0.348 0.411
Sb: 0.752 0.657 0.912
Sb: 0.752 0.843 0.412
Sb: 0.926 0.532 0.258
Sb: 0.926 0.968 0.758
Pd: 0.291 0.667 0.261
Pd: 0.291 0.833 0.761
Pd: 0.500 0.000 0.500
Pd: 0.500 0.500 0.000
Pd: 0.709 0.167 0.239
Pd: 0.709 0.333 0.739

Peak list (10 most intense, 5 to 70 degrees two-theta, by angle)
Position (°2θ)	Rel. int.
30.1	100
30.5	71
30.8	66
30.9	58
32.0	56
40.0	90
41.5	38
44.2	64
44.7	55
44.9	40